Starting from a crystal structure in Alexandria, relaxed with PBE, the powder diffraction line list of K2Rb3Hg3 was simulated for CuKα.
No peak broadening, texture or thermal motion is included.

Top 8 peaks for 2θ = 10–90°, by angle:
- 2θ = 16.7°, I = 15
- 2θ = 26.0°, I = 21
- 2θ = 27.3°, I = 28
- 2θ = 27.5°, I = 100
- 2θ = 31.2°, I = 21
- 2θ = 38.0°, I = 16
- 2θ = 48.4°, I = 21
- 2θ = 52.9°, I = 19

Structure:
Cell: 14.2891 14.2891 14.2891 Å, 162.04 153.57 32.14°
Positions (direct):
K 0.2192 0.2192 0.0000
K 0.7808 0.7808 0.0000
Rb 0.0000 0.0000 0.0000
Rb 0.3861 0.8861 0.5000
Rb 0.6139 0.1139 0.5000
Hg 0.1140 0.6140 0.5000
Hg 0.5000 0.5000 0.0000
Hg 0.8860 0.3860 0.5000

Starting from a crystal structure in Alexandria, relaxed with PBE, the powder diffraction line list of K6Rb9Hg was simulated for CuKα.
No peak broadening, texture or thermal motion is included.

Top 8 peaks for 2θ = 10–90°, by angle:
- 2θ = 18.0°, I = 40
- 2θ = 22.2°, I = 100
- 2θ = 24.7°, I = 76
- 2θ = 27.7°, I = 27
- 2θ = 35.2°, I = 29
- 2θ = 37.4°, I = 47
- 2θ = 42.0°, I = 28
- 2θ = 45.4°, I = 26

Structure:
Cell: 12.5820 12.5820 12.5820 Å, 126.14 126.14 79.66°
Positions (direct):
K 0.0984 0.7057 0.8042
K 0.1810 0.1810 0.0000
K 0.2943 0.0984 0.3927
K 0.7057 0.9016 0.6073
K 0.8190 0.8190 0.0000
K 0.9016 0.2943 0.1958
Rb 0.0316 0.2284 0.5798
Rb 0.2284 0.6486 0.1968
Rb 0.3514 0.5482 0.5798
Rb 0.4518 0.0316 0.8032
Rb 0.5000 0.5000 0.0000
Rb 0.5482 0.9684 0.1968
Rb 0.6486 0.4518 0.4202
Rb 0.7716 0.3514 0.8032
Rb 0.9684 0.7716 0.4202
Hg 0.0000 0.0000 0.0000

Starting from a crystal structure in Alexandria, relaxed with PBE, the powder diffraction line list of KRb2Hg16 was simulated for CuKα.
No peak broadening, texture or thermal motion is included.

Top 8 peaks for 2θ = 10–90°, by angle:
- 2θ = 16.2°, I = 42
- 2θ = 28.1°, I = 22
- 2θ = 31.4°, I = 40
- 2θ = 32.3°, I = 28
- 2θ = 32.4°, I = 98
- 2θ = 32.7°, I = 38
- 2θ = 36.4°, I = 100
- 2θ = 58.4°, I = 24

Structure:
Cell: 8.5142 8.5142 8.5142 Å, 80.06 80.06 80.06°
Positions (direct):
K 0.0000 0.0000 0.0000
Rb 0.2509 0.2509 0.2509
Rb 0.5753 0.5753 0.5753
Hg 0.1001 0.5436 0.5436
Hg 0.2212 0.6155 0.9150
Hg 0.2212 0.9150 0.6155
Hg 0.2719 0.2719 0.7819
Hg 0.2719 0.7819 0.2719
Hg 0.4326 0.9101 0.9101
Hg 0.5436 0.1001 0.5436
Hg 0.5436 0.5436 0.1001
Hg 0.6155 0.2212 0.9150
Hg 0.6155 0.9150 0.2212
Hg 0.7819 0.2719 0.2719
Hg 0.7985 0.7985 0.7985
Hg 0.9101 0.4326 0.9101
Hg 0.9101 0.9101 0.4326
Hg 0.9150 0.2212 0.6155
Hg 0.9150 0.6155 0.2212

Starting from a crystal structure in Alexandria, relaxed with PBE, the powder diffraction line list of K5Rb4Hg3 was simulated for CuKα.
No peak broadening, texture or thermal motion is included.

Top 8 peaks for 2θ = 10–90°, by angle:
- 2θ = 17.5°, I = 69
- 2θ = 18.6°, I = 83
- 2θ = 24.5°, I = 74
- 2θ = 24.7°, I = 75
- 2θ = 26.3°, I = 100
- 2θ = 27.1°, I = 67
- 2θ = 29.8°, I = 69
- 2θ = 31.7°, I = 64

Structure:
Cell: 11.1986 11.1986 10.3099 Å, 110.57 110.57 35.27°
Positions (direct):
K 0.0000 0.0000 0.0000
K 0.3324 0.3324 0.7335
K 0.4422 0.4422 0.2788
K 0.5578 0.5578 0.7212
K 0.6676 0.6676 0.2665
Rb 0.1209 0.1209 0.4706
Rb 0.1838 0.1838 0.9476
Rb 0.8162 0.8162 0.0524
Rb 0.8791 0.8791 0.5294
Hg 0.2789 0.2789 0.3323
Hg 0.5000 0.5000 0.0000
Hg 0.7211 0.7211 0.6677

Starting from a crystal structure in Alexandria, relaxed with PBE, the powder diffraction line list of K5Rb4Hg was simulated for CuKα.
No peak broadening, texture or thermal motion is included.

Top 8 peaks for 2θ = 10–90°, by angle:
- 2θ = 12.2°, I = 35
- 2θ = 18.7°, I = 100
- 2θ = 19.3°, I = 35
- 2θ = 22.4°, I = 52
- 2θ = 25.7°, I = 38
- 2θ = 26.0°, I = 76
- 2θ = 36.9°, I = 56
- 2θ = 45.6°, I = 29

Structure:
Cell: 10.8662 10.8662 10.8662 Å, 95.83 95.83 142.83°
Positions (direct):
K 0.0000 0.0000 0.0000
K 0.3011 0.3015 0.6604
K 0.3015 0.6410 0.0003
K 0.6407 0.3011 0.9997
K 0.6410 0.6407 0.3396
Rb 0.2869 0.9636 0.3218
Rb 0.6418 0.9651 0.6782
Rb 0.9636 0.6418 0.6767
Rb 0.9651 0.2869 0.3233
Hg 0.5040 0.5040 0.0000

Starting from a crystal structure in Alexandria, relaxed with PBE, the powder diffraction line list of KRb10Hg3 was simulated for CuKα.
No peak broadening, texture or thermal motion is included.

Top 8 peaks for 2θ = 10–90°, by angle:
- 2θ = 12.7°, I = 53
- 2θ = 15.6°, I = 73
- 2θ = 23.5°, I = 86
- 2θ = 25.6°, I = 92
- 2θ = 26.8°, I = 58
- 2θ = 27.2°, I = 44
- 2θ = 30.1°, I = 100
- 2θ = 45.1°, I = 53

Structure:
Cell: 13.9200 13.9200 13.9200 Å, 60.00 60.00 60.00°
Positions (direct):
K 0.2500 0.2500 0.2500
K 0.7500 0.7500 0.7500
Rb 0.0000 0.0000 0.3343
Rb 0.0000 0.0000 0.6657
Rb 0.0000 0.3343 0.0000
Rb 0.0000 0.3343 0.6657
Rb 0.0000 0.6657 0.0000
Rb 0.0000 0.6657 0.3343
Rb 0.1582 0.6139 0.6139
Rb 0.3343 0.0000 0.0000
Rb 0.3343 0.0000 0.6657
Rb 0.3343 0.6657 0.0000
Rb 0.3861 0.3861 0.3861
Rb 0.3861 0.3861 0.8418
Rb 0.3861 0.8418 0.3861
Rb 0.6139 0.1582 0.6139
Rb 0.6139 0.6139 0.1582
Rb 0.6139 0.6139 0.6139
Rb 0.6657 0.0000 0.0000
Rb 0.6657 0.0000 0.3343
Rb 0.6657 0.3343 0.0000
Rb 0.8418 0.3861 0.3861
Hg 0.2696 0.2696 0.7304
Hg 0.2696 0.7304 0.2696
Hg 0.2696 0.7304 0.7304
Hg 0.7304 0.2696 0.2696
Hg 0.7304 0.2696 0.7304
Hg 0.7304 0.7304 0.2696

Starting from a crystal structure in Alexandria, relaxed with PBE, the powder diffraction line list of KRb3Hg was simulated for CuKα.
No peak broadening, texture or thermal motion is included.

Top 8 peaks for 2θ = 10–90°, by angle:
- 2θ = 10.5°, I = 100
- 2θ = 22.3°, I = 75
- 2θ = 22.8°, I = 73
- 2θ = 27.0°, I = 43
- 2θ = 27.9°, I = 41
- 2θ = 28.3°, I = 73
- 2θ = 31.3°, I = 48
- 2θ = 34.3°, I = 52

Structure:
Cell: 5.0736 11.1573 12.4478 Å, 93.26 90.03 103.04°
Positions (direct):
K 0.1000 0.2003 0.4401
K 0.9000 0.7997 0.5599
Rb 0.1100 0.2177 0.0649
Rb 0.2438 0.4877 0.7319
Rb 0.4415 0.8836 0.2440
Rb 0.5585 0.1164 0.7560
Rb 0.7562 0.5123 0.2681
Rb 0.8900 0.7823 0.9351
Hg 0.2844 0.5685 0.0468
Hg 0.7156 0.4315 0.9532

Starting from a crystal structure in Alexandria, relaxed with PBE, the powder diffraction line list of KRb7Hg3 was simulated for CuKα.
No peak broadening, texture or thermal motion is included.

Top 8 peaks for 2θ = 10–90°, by angle:
- 2θ = 11.7°, I = 39
- 2θ = 12.0°, I = 52
- 2θ = 23.5°, I = 100
- 2θ = 23.9°, I = 48
- 2θ = 28.2°, I = 29
- 2θ = 29.1°, I = 37
- 2θ = 30.1°, I = 30
- 2θ = 32.8°, I = 41

Structure:
Cell: 9.7011 9.7011 11.8563 Å, 125.54 125.54 58.21°
Positions (direct):
K 0.0000 0.0000 0.0000
Rb 0.0516 0.5441 0.1333
Rb 0.4463 0.9445 0.6405
Rb 0.4671 0.4671 0.6788
Rb 0.5441 0.0516 0.1333
Rb 0.5486 0.5486 0.1559
Rb 0.9084 0.9084 0.5433
Rb 0.9445 0.4463 0.6405
Hg 0.0285 0.0285 0.3247
Hg 0.0443 0.3799 0.3520
Hg 0.3799 0.0443 0.3520

Starting from a crystal structure in Alexandria, relaxed with PBE, the powder diffraction line list of K12Rb5Hg3 was simulated for CuKα.
No peak broadening, texture or thermal motion is included.

Top 8 peaks for 2θ = 10–90°, by angle:
- 2θ = 16.4°, I = 87
- 2θ = 21.0°, I = 100
- 2θ = 23.7°, I = 44
- 2θ = 26.7°, I = 67
- 2θ = 28.6°, I = 38
- 2θ = 31.5°, I = 81
- 2θ = 34.4°, I = 30
- 2θ = 43.0°, I = 27

Structure:
Cell: 18.7580 18.7580 4.7374 Å, 90.00 90.00 120.00°
Positions (direct):
K 0.0000 0.5285 0.0000
K 0.0000 0.8175 0.0000
K 0.1825 0.1825 0.0000
K 0.2105 0.7729 0.5000
K 0.2271 0.4376 0.5000
K 0.4376 0.2271 0.5000
K 0.4715 0.4715 0.0000
K 0.5285 0.0000 0.0000
K 0.5624 0.7895 0.5000
K 0.7729 0.2105 0.5000
K 0.7895 0.5624 0.5000
K 0.8175 0.0000 0.0000
Rb 0.0000 0.2727 0.0000
Rb 0.2727 0.0000 0.0000
Rb 0.3333 0.6667 0.0000
Rb 0.6667 0.3333 0.0000
Rb 0.7273 0.7273 0.0000
Hg 0.0000 0.6749 0.5000
Hg 0.3251 0.3251 0.5000
Hg 0.6749 0.0000 0.5000

Starting from a crystal structure in Alexandria, relaxed with PBE, the powder diffraction line list of K2RbHg4 was simulated for CuKα.
No peak broadening, texture or thermal motion is included.

Top 8 peaks for 2θ = 10–90°, by angle:
- 2θ = 13.5°, I = 50
- 2θ = 18.3°, I = 70
- 2θ = 18.5°, I = 97
- 2θ = 24.1°, I = 48
- 2θ = 27.1°, I = 67
- 2θ = 29.7°, I = 97
- 2θ = 33.7°, I = 60
- 2θ = 35.4°, I = 100

Structure:
Cell: 10.9005 10.9005 7.5298 Å, 99.23 99.23 37.16°
Positions (direct):
K 0.1090 0.2763 0.1581
K 0.2763 0.1090 0.6581
K 0.7237 0.8910 0.3419
K 0.8910 0.7237 0.8419
Rb 0.2387 0.7613 0.7500
Rb 0.7613 0.2387 0.2500
Hg 0.1824 0.6664 0.2226
Hg 0.2668 0.4129 0.4913
Hg 0.3336 0.8176 0.2774
Hg 0.4129 0.2668 0.9913
Hg 0.5871 0.7332 0.0087
Hg 0.6664 0.1824 0.7226
Hg 0.7332 0.5871 0.5087
Hg 0.8176 0.3336 0.7774

Starting from a crystal structure in Alexandria, relaxed with PBE, the powder diffraction line list of K9Rb2Hg4 was simulated for CuKα.
No peak broadening, texture or thermal motion is included.

Top 8 peaks for 2θ = 10–90°, by angle:
- 2θ = 14.7°, I = 31
- 2θ = 19.8°, I = 100
- 2θ = 24.8°, I = 38
- 2θ = 27.7°, I = 30
- 2θ = 28.7°, I = 98
- 2θ = 30.9°, I = 44
- 2θ = 32.4°, I = 30
- 2θ = 35.1°, I = 25

Structure:
Cell: 6.2242 6.2242 24.0503 Å, 90.00 90.00 120.00°
Positions (direct):
K 0.0000 0.0000 0.0000
K 0.0000 0.0000 0.1716
K 0.0000 0.0000 0.3840
K 0.0000 0.0000 0.6160
K 0.0000 0.0000 0.8284
K 0.3333 0.6667 0.0708
K 0.3333 0.6667 0.4634
K 0.6667 0.3333 0.5366
K 0.6667 0.3333 0.9292
Rb 0.3333 0.6667 0.2789
Rb 0.6667 0.3333 0.7211
Hg 0.3333 0.6667 0.6186
Hg 0.3333 0.6667 0.9021
Hg 0.6667 0.3333 0.0979
Hg 0.6667 0.3333 0.3814

Starting from a crystal structure in Alexandria, relaxed with PBE, the powder diffraction line list of K4Rb8Hg3 was simulated for CuKα.
No peak broadening, texture or thermal motion is included.

Top 8 peaks for 2θ = 10–90°, by angle:
- 2θ = 15.0°, I = 19
- 2θ = 24.7°, I = 100
- 2θ = 27.6°, I = 51
- 2θ = 30.0°, I = 24
- 2θ = 36.3°, I = 26
- 2θ = 39.5°, I = 19
- 2θ = 47.1°, I = 35
- 2θ = 54.7°, I = 29

Structure:
Cell: 6.4545 6.4545 23.5562 Å, 90.00 90.00 90.00°
Positions (direct):
K 0.0000 0.5000 0.0868
K 0.0000 0.5000 0.5892
K 0.5000 0.0000 0.4108
K 0.5000 0.0000 0.9132
Rb 0.0000 0.0000 0.2519
Rb 0.0000 0.0000 0.7481
Rb 0.0000 0.5000 0.4115
Rb 0.0000 0.5000 0.9098
Rb 0.5000 0.0000 0.0902
Rb 0.5000 0.0000 0.5885
Rb 0.5000 0.5000 0.2451
Rb 0.5000 0.5000 0.7549
Hg 0.0000 0.0000 0.0000
Hg 0.0000 0.0000 0.5000
Hg 0.5000 0.5000 0.0000